No. 1
Calculated PXRD pattern of CsNaSc2Br8 for Cu Kα X-rays, from a PBE-relaxed structure.

abc: 11.096 11.096 11.096
angles: 38.12 38.12 38.12
Fractional coordinates of all 12 atoms:
Cs: 0.000 0.000 0.000
Na: 0.500 0.500 0.500
Sc: 0.247 0.247 0.247
Sc: 0.753 0.753 0.753
Br: 0.102 0.437 0.786
Br: 0.214 0.898 0.563
Br: 0.328 0.328 0.328
Br: 0.437 0.786 0.102
Br: 0.563 0.214 0.898
Br: 0.672 0.672 0.672
Br: 0.786 0.102 0.437
Br: 0.898 0.563 0.214

The 10 most intense peaks (2θ from 10° to 90°), sorted by position:
- 2θ 18.23, I = 9
- 2θ 26.06, I = 100
- 2θ 30.18, I = 46
- 2θ 43.21, I = 51
- 2θ 51.14, I = 33
- 2θ 51.20, I = 11
- 2θ 53.64, I = 9
- 2θ 69.06, I = 8
- 2θ 69.20, I = 9
- 2θ 79.29, I = 12



No. 2
Calculated PXRD pattern of Y7Cu3Te12 for Cu Kα X-rays, from a PBE-relaxed structure.

abc: 7.534 7.537 14.280
angles: 80.02 85.07 60.02
Fractional coordinates of all 22 atoms:
Y: 0.000 0.000 0.000
Y: 0.002 0.414 0.744
Y: 0.007 0.821 0.491
Y: 0.332 0.170 0.491
Y: 0.339 0.318 0.000
Y: 0.670 0.658 0.000
Y: 0.675 0.495 0.491
Cu: 0.336 0.548 0.331
Cu: 0.338 0.937 0.172
Cu: 0.673 0.266 0.173
Te: 0.004 0.290 0.132
Te: 0.005 0.119 0.620
Te: 0.005 0.699 0.874
Te: 0.329 0.615 0.131
Te: 0.335 0.033 0.872
Te: 0.338 0.876 0.364
Te: 0.340 0.452 0.621
Te: 0.669 0.370 0.872
Te: 0.670 0.788 0.620
Te: 0.676 0.199 0.364
Te: 0.678 0.941 0.131
Te: 0.999 0.538 0.362

The 10 most intense peaks (2θ from 10° to 90°), sorted by position:
- 2θ 25.10, I = 11
- 2θ 25.33, I = 11
- 2θ 27.92, I = 100
- 2θ 31.84, I = 24
- 2θ 38.22, I = 13
- 2θ 41.50, I = 19
- 2θ 41.51, I = 39
- 2θ 43.65, I = 15
- 2θ 50.77, I = 19
- 2θ 67.59, I = 15